SrPr3Fe4O12: computed X-ray powder pattern (Cu Kα (weighted mean of Kα1 and Kα2)), based on a cell relaxed with PBE+U.

Structure:
a b c (Å): 5.554 7.872 5.621
angles (deg): 90.00 90.13 90.00
Space group Pm (No. 6)
One atom of each set of equivalent atoms:
Sr (0.000, 0.000, 0.000) x1
Pr (0.018, 0.500, 0.077) x1
Pr (0.501, 0.500, 0.573) x1
Pr (0.518, 0.000, 0.488) x1
Fe (0.007, 0.249, 0.535) x2
Fe (0.509, 0.249, 0.030) x2
O (0.090, 0.000, 0.542) x1
O (0.224, 0.298, 0.816) x2
O (0.290, 0.296, 0.316) x2
O (0.444, 0.000, 0.055) x1
O (0.590, 0.500, 0.010) x1
O (0.712, 0.213, 0.736) x2
O (0.787, 0.217, 0.252) x2
O (0.931, 0.500, 0.516) x1

Peak list (12 most intense, 2θ = 10–80°, sorted by position)
d_spacing  intensity
3.950  108
2.810  226
2.788  1000
2.777  246
2.269  107
1.978  134
1.973  134
1.968  154
1.618  136
1.612  98
1.605  330
1.394  142